(1)
Starting from a PBE-relaxed structure, the XRD peak list of NaBe2BiMo was calculated for λ = 1.5418 Å (Cu Kα).
Neutral-atom scattering factors, no anomalous dispersion.

Atomic structure:
abc: 4.508 4.508 5.188
angles: 90.00 90.00 90.00
Space group P4/mmm (No. 123)
Inequivalent atoms, fractional coordinates:
Na1 0.000 0.000 0.000 x1
Be1 0.000 0.500 0.500 x2
Bi1 0.500 0.500 0.000 x1
Mo1 0.000 0.000 0.500 x1

Most intense lines, 10° ≤ 2θ ≤ 80°, by angle:
2theta, Rel. int.
26.19, 100
27.99, 54
32.98, 15
34.58, 18
40.00, 24
45.06, 33
48.45, 38
53.89, 20
71.94, 12
76.21, 14

(2)
Starting from a PBE-relaxed structure, the XRD peak list of Be2NbBiPd was calculated for λ = 1.5418 Å (Cu Kα).
Neutral-atom scattering factors, no anomalous dispersion.

Atomic structure:
abc: 4.485 4.485 5.408
angles: 90.00 90.00 90.00
Space group P4/mmm (No. 123)
Inequivalent atoms, fractional coordinates:
Be1 0.000 0.500 0.000 x2
Nb1 0.000 0.000 0.500 x1
Bi1 0.000 0.000 0.000 x1
Pd1 0.500 0.500 0.500 x1

Most intense lines, 10° ≤ 2θ ≤ 80°, by angle:
2theta, Rel. int.
19.79, 54
25.81, 74
28.14, 100
33.13, 37
38.89, 20
40.21, 44
44.01, 60
48.40, 28
53.05, 39
75.73, 24

(3)
Starting from a PBE-relaxed structure, the XRD peak list of BeNbBiPt was calculated for λ = 1.5418 Å (Cu Kα).
Neutral-atom scattering factors, no anomalous dispersion.

Atomic structure:
abc: 4.360 4.164 9.038
angles: 90.00 90.00 90.00
Space group Amm2 (No. 38)
Inequivalent atoms, fractional coordinates:
Be1 0.000 0.000 0.000 x2
Nb1 0.000 0.000 0.697 x2
Bi1 0.500 0.000 0.197 x2
Pt1 0.000 0.000 0.405 x2

Most intense lines, 10° ≤ 2θ ≤ 80°, by angle:
2theta, Rel. int.
23.52, 62
28.44, 58
31.31, 100
39.90, 25
41.42, 31
42.44, 99
43.46, 27
48.17, 24
52.76, 22
61.59, 25

(4)
Starting from a PBE-relaxed structure, the XRD peak list of BeBi12O20 was calculated for λ = 1.5418 Å (Cu Kα).
Neutral-atom scattering factors, no anomalous dispersion.

Atomic structure:
abc: 10.089 10.089 10.089
angles: 90.00 90.00 90.00
Space group I23 (No. 197)
Inequivalent atoms, fractional coordinates:
Be1 0.000 0.000 0.000 x2
Bi1 0.007 0.313 0.827 x24
O1 0.017 0.242 0.369 x24
O2 0.097 0.097 0.097 x8
O3 0.195 0.195 0.805 x8

Most intense lines, 10° ≤ 2θ ≤ 80°, by angle:
2theta, Rel. int.
24.96, 29
27.97, 100
30.70, 22
33.23, 69
39.96, 17
52.92, 52
54.58, 17
56.20, 29
62.43, 20
79.48, 19

(5)
Starting from a PBE-relaxed structure, the XRD peak list of BeBiPO2 was calculated for λ = 1.5418 Å (Cu Kα).
Neutral-atom scattering factors, no anomalous dispersion.

Atomic structure:
abc: 3.800 3.800 4.436
angles: 90.00 90.00 90.00
Space group P4/mmm (No. 123)
Inequivalent atoms, fractional coordinates:
Be1 0.000 0.000 0.000 x1
Bi1 0.500 0.500 0.500 x1
P1 0.000 0.000 0.500 x1
O1 0.000 0.500 0.000 x2

Most intense lines, 10° ≤ 2θ ≤ 80°, by angle:
2theta, Rel. int.
20.02, 73
23.41, 74
30.99, 89
33.34, 49
39.20, 100
47.46, 25
47.87, 30
52.38, 26
53.57, 27
58.12, 32

(6)
Starting from a PBE-relaxed structure, the XRD peak list of SrBe4Bi3O12 was calculated for λ = 1.5418 Å (Cu Kα).
Neutral-atom scattering factors, no anomalous dispersion.

Atomic structure:
abc: 10.5339 10.5339 8.2256
angles: 90.00 90.00 120.00
Space group R32 (No. 155, hexagonal axes)
Inequivalent atoms, fractional coordinates:
Sr1 0.0000 0.0000 0.0000 x3
Be1 0.0000 0.0000 0.5000 x3
Be2 0.0000 0.4459 0.5000 x9
Bi1 0.0000 0.5445 0.0000 x9
O1 0.0000 0.5965 0.5000 x9
O2 0.0000 0.8528 0.5000 x9
O3 0.0248 0.2064 0.1867 x18

Most intense lines, 10° ≤ 2θ ≤ 80°, by angle:
2theta, Rel. int.
16.83, 37
22.29, 100
28.06, 21
29.24, 74
34.04, 24
37.18, 17
41.92, 32
45.52, 18
47.89, 25
48.56, 18